Diffraction record for Dy5B2O6F9. The powder diffractogram is simulated, not measured: it uses a DFT-relaxed cell (GGA-PBE, OQMD) and Cu Kα (weighted mean of Kα1 and Kα2).
No peak broadening, texture or thermal motion is included.

Most intense lines, 10 to 80 degrees two-theta, by angle:
d = 3.991 Å, 22.28°, rel. 44.1; d = 3.532 Å, 25.21°, rel. 41.4; d = 3.320 Å, 26.85°, rel. 100.0; d = 3.240 Å, 27.53°, rel. 70.8; d = 3.188 Å, 27.99°, rel. 38.8; d = 2.925 Å, 30.57°, rel. 32.9; d = 2.837 Å, 31.54°, rel. 84.1; d = 2.025 Å, 44.75°, rel. 47.1; d = 1.938 Å, 46.89°, rel. 33.0; d = 1.786 Å, 51.15°, rel. 36.2

Structural model:
a b c (Å): 10.521 10.521 8.202
angles (deg): 99.59 99.59 33.48
Fractional positions:
Dy 0.072 0.316 0.318
Dy 0.111 0.889 0.750
Dy 0.277 0.503 0.097
Dy 0.316 0.072 0.818
Dy 0.497 0.723 0.403
Dy 0.503 0.277 0.597
Dy 0.684 0.928 0.182
Dy 0.723 0.497 0.903
Dy 0.889 0.111 0.250
Dy 0.928 0.684 0.682
B 0.016 0.207 0.561
B 0.207 0.016 0.061
B 0.793 0.984 0.939
B 0.984 0.793 0.439
O 0.009 0.806 0.285
O 0.100 0.219 0.038
O 0.149 0.667 0.566
O 0.194 0.991 0.215
O 0.219 0.100 0.538
O 0.333 0.851 0.934
O 0.667 0.149 0.066
O 0.781 0.900 0.462
O 0.806 0.009 0.785
O 0.851 0.333 0.434
O 0.900 0.781 0.962
O 0.991 0.194 0.715
F 0.006 0.550 0.211
F 0.150 0.789 0.016
F 0.211 0.850 0.484
F 0.215 0.362 0.519
F 0.293 0.443 0.818
F 0.362 0.215 0.019
F 0.443 0.293 0.318
F 0.450 0.994 0.289
F 0.490 0.510 0.750
F 0.510 0.490 0.250
F 0.550 0.006 0.711
F 0.557 0.707 0.682
F 0.638 0.785 0.981
F 0.707 0.557 0.182
F 0.785 0.638 0.481
F 0.789 0.150 0.516
F 0.850 0.211 0.984
F 0.994 0.450 0.789